Entry 1:
This entry pairs a crystal structure of SrPmB12 with its computed powder diffractogram. Radiation: Cu Kα (weighted mean of Kα1 and Kα2). Structure: a DFT-relaxed cell (GGA-PBE, Alexandria).
No peak broadening, texture or thermal motion is included.

Structure:
a b c (Å): 8.313 8.313 8.313
angles (deg): 90.00 90.00 90.00
Space group Fm-3m (No. 225)
Asymmetric unit:
Sr: 0.000 0.000 0.000
Pm: 0.000 0.000 0.500
B: 0.100 0.250 0.250

Largest 8 diffraction maxima, most intense first, 10° ≤ 2θ ≤ 80°:
2θ (°)  Rel. int.
30.41  100
21.38  55
49.00  48
37.48  43
67.61  29
54.04  25
43.55  22
71.82  20



Entry 2:
This entry pairs a crystal structure of CeHo4Er4 with its computed powder diffractogram. Radiation: Cu Kα (weighted mean of Kα1 and Kα2). Structure: a DFT-relaxed cell (GGA-PBE, Alexandria).
No peak broadening, texture or thermal motion is included.

Structure:
a b c (Å): 10.541 10.541 4.984
angles (deg): 90.00 90.00 90.00
Space group I4/mmm (No. 139)
Asymmetric unit:
Ce: 0.000 0.000 0.000
Ho: 0.000 0.333 0.000
Er: 0.166 0.166 0.500

Largest 8 diffraction maxima, most intense first, 10° ≤ 2θ ≤ 80°:
2θ (°)  Rel. int.
31.14  100
52.00  36
36.15  34
61.92  28
36.04  17
61.77  14
64.95  12
76.72  4